Diffraction record for Pa3Bi6Pb. The powder XRD pattern is calculated, not measured: it uses a structure optimized by DFT (GGA-PBE) and Cu Kα (weighted mean of Kα1 and Kα2).
Kinematic intensities with the Lorentz-polarization factor, no thermal factor.

Cell and atoms:
```
Pa3Bi6Pb
1.0
4.6117 0.0000 0.0000
-2.3059 3.9939 0.0000
0.0000 0.0000 20.0402
Pa Bi Pb
3 6 1
Direct
0.0000 0.0000 0.0000
0.0000 0.0000 0.3100
0.0000 0.0000 0.6900
0.3333 0.6667 0.0818
0.3333 0.6667 0.3978
0.3333 0.6667 0.7691
0.6667 0.3333 0.2309
0.6667 0.3333 0.6022
0.6667 0.3333 0.9182
0.0000 0.0000 0.5000
```

Peak list (10 most intense, 2θ = 5–70°, by angle)
2θ = 13.25°, I = 12; 2θ = 25.99°, I = 100; 2θ = 28.58°, I = 24; 2θ = 31.63°, I = 16; 2θ = 35.02°, I = 58; 2θ = 39.06°, I = 64; 2θ = 47.52°, I = 20; 2θ = 53.46°, I = 18; 2θ = 63.15°, I = 18; 2θ = 68.17°, I = 18